Structure and theoretical X-ray diffraction stick pattern of K2CoCuAg (the GGA-PBE geometry in Alexandria; Cu Kα (λ = 1.5418 Å)).
Kinematic intensities with the Lorentz-polarization factor, no thermal factor.

The 12 most intense peaks (2θ from 10° to 90°), in order of rising 2θ:
2θ/deg  intensity
20.23  57
24.32  32
28.30  80
28.76  100
38.01  19
39.79  20
41.12  36
49.83  40
50.67  29
58.55  24
67.46  15
81.27  17

```
K2CoCuAg
1.0
6.209 0.000 0.000
0.000 6.209 0.000
0.000 0.000 4.531
K Co Cu Ag
2 1 1 1
Cartesian
0.000 3.105 0.000
3.105 0.000 0.000
0.000 0.000 0.000
0.000 0.000 2.265
3.105 3.105 2.265
```

Structure and theoretical X-ray diffraction stick pattern of Th2CoCuAg (the GGA-PBE geometry in Alexandria; Cu Kα (λ = 1.5418 Å)).
Kinematic intensities with the Lorentz-polarization factor, no thermal factor.

The 12 most intense peaks (2θ from 10° to 90°), in order of rising 2θ:
2θ/deg  intensity
26.18  50
27.21  33
31.04  27
31.79  44
32.61  100
33.93  31
34.44  26
35.95  32
37.21  43
39.63  43
47.10  32
61.49  25

```
Th2CoCuAg
1.0
7.831 0.000 0.000
0.000 3.859 0.000
-3.094 0.000 7.249
Th Co Cu Ag
4 2 2 2
Cartesian
-0.126 0.965 2.554
-0.854 0.965 7.213
5.590 2.894 0.035
4.862 2.894 4.695
0.539 2.894 0.741
4.198 0.965 6.508
2.291 2.894 2.666
2.446 0.965 4.583
0.444 2.894 4.929
4.292 0.965 2.320
```

Structure and theoretical X-ray diffraction stick pattern of Er5Co2Ag2 (the GGA-PBE geometry in Alexandria; Cu Kα (λ = 1.5418 Å)).
Kinematic intensities with the Lorentz-polarization factor, no thermal factor.

The 12 most intense peaks (2θ from 10° to 90°), in order of rising 2θ:
2θ/deg  intensity
27.98  37
32.59  54
33.27  43
33.58  100
33.81  99
35.48  64
36.11  78
39.88  33
40.05  40
40.46  38
45.62  36
62.31  34

```
Er5Co2Ag2
1.0
7.954 -3.556 0.000
7.954 3.556 0.000
0.000 0.000 7.200
Er Co Ag
10 4 4
Cartesian
0.000 0.000 0.000
5.974 2.271 4.914
5.974 1.286 1.314
9.933 2.271 4.914
9.933 1.286 1.314
7.954 0.000 3.600
5.974 -1.286 5.886
5.974 -2.271 2.286
9.933 -1.286 5.886
9.933 -2.271 2.286
7.954 2.771 2.786
7.954 0.785 6.386
7.954 -0.785 0.814
7.954 -2.771 4.414
3.499 0.000 0.000
4.455 0.000 3.600
11.452 0.000 3.600
12.408 0.000 0.000
```

Structure and theoretical X-ray diffraction stick pattern of Er8CoAg2 (the GGA-PBE geometry in Alexandria; Cu Kα (λ = 1.5418 Å)).
Kinematic intensities with the Lorentz-polarization factor, no thermal factor.

The 12 most intense peaks (2θ from 10° to 90°), in order of rising 2θ:
2θ/deg  intensity
30.72  46
31.05  32
31.64  30
32.67  100
33.00  66
33.39  25
37.64  25
39.11  20
40.72  27
58.94  22
60.17  18
63.98  17

```
Er8CoAg2
1.0
3.706 -7.833 0.000
3.706 7.833 0.000
-3.162 0.000 5.018
Er Co Ag
8 1 2
Cartesian
0.000 0.000 0.000
1.319 3.058 1.045
2.066 6.092 2.556
1.161 1.771 4.387
1.319 -3.058 1.045
2.825 0.000 1.860
1.161 -1.771 4.387
2.066 -6.092 2.556
0.403 0.000 2.528
3.475 3.381 3.557
3.475 -3.381 3.557
```

Structure and theoretical X-ray diffraction stick pattern of Er7Co2Ag2 (the GGA-PBE geometry in Alexandria; Cu Kα (λ = 1.5418 Å)).
Kinematic intensities with the Lorentz-polarization factor, no thermal factor.

The 12 most intense peaks (2θ from 10° to 90°), in order of rising 2θ:
2θ/deg  intensity
28.82  29
30.03  54
31.68  52
33.12  84
34.29  21
35.08  100
35.67  41
39.61  23
46.22  19
50.58  25
51.73  20
61.80  28

```
Er7Co2Ag2
1.0
-1.805 7.846 4.739
1.805 -7.846 4.739
1.805 7.846 -4.739
Er Co Ag
7 2 2
Cartesian
0.000 0.000 0.000
1.805 2.930 -1.123
1.805 -2.308 2.185
1.805 2.308 2.185
1.805 5.840 0.703
0.000 4.916 3.616
0.000 2.006 5.442
0.000 3.835 0.805
0.000 11.857 0.805
0.000 0.000 3.120
0.000 7.846 2.281
```

Structure and theoretical X-ray diffraction stick pattern of ErCoAg (the GGA-PBE geometry in Alexandria; Cu Kα (λ = 1.5418 Å)).
Kinematic intensities with the Lorentz-polarization factor, no thermal factor.

The 12 most intense peaks (2θ from 10° to 90°), in order of rising 2θ:
2θ/deg  intensity
25.94  11
32.28  28
34.30  100
36.76  80
37.80  23
40.91  46
48.02  23
49.21  21
61.97  35
65.86  21
71.21  14
73.28  14

```
ErCoAg
1.0
1.851 -8.138 0.000
1.851 8.138 0.000
0.000 0.000 3.789
Er Co Ag
2 2 2
Cartesian
1.851 6.512 2.842
1.851 -6.512 0.947
1.851 0.561 2.842
1.851 -0.561 0.947
1.851 3.352 2.842
1.851 -3.352 0.947
```

Structure and theoretical X-ray diffraction stick pattern of Er5CoAg2 (the GGA-PBE geometry in Alexandria; Cu Kα (λ = 1.5418 Å)).
Kinematic intensities with the Lorentz-polarization factor, no thermal factor.

The 12 most intense peaks (2θ from 10° to 90°), in order of rising 2θ:
2θ/deg  intensity
28.88  41
31.07  24
31.43  100
32.27  40
32.45  57
33.71  66
34.21  62
38.11  17
45.02  45
50.75  18
55.75  30
56.57  24

```
Er5CoAg2
1.0
8.568 0.000 0.000
0.000 11.658 0.000
0.000 0.000 4.029
Er Co Ag
10 2 4
Cartesian
0.000 0.000 0.000
1.256 3.568 0.000
1.514 6.682 2.015
2.770 0.853 2.015
3.028 9.397 0.000
4.284 5.829 0.000
5.540 2.261 0.000
5.797 10.805 2.015
7.054 4.976 2.015
7.311 8.091 0.000
0.000 5.829 0.000
4.284 0.000 0.000
0.592 9.613 2.015
3.692 3.784 2.015
4.876 7.874 2.015
7.976 2.045 2.015
```